# 1
# TbSiRu
Calculated PXRD pattern, copper Kα. Input: a DFT-relaxed cell (PBE, the Materials Project).
Lines closer than 0.1° are merged.

Most intense lines, 2θ = 15–90°, in order of rising 2θ:
| 2theta | d/Å | intensity | (hkl) |
| --- | --- | --- | --- |
| 23.94 | 3.717 | 31.9 | 0 1 1 |
| 27.13 | 3.287 | 26.3 | 1 1 1 |
| 34.97 | 2.566 | 99.2 | 1 1 2 |
| 35.10 | 2.556 | 100.0 | 2 1 1 |
| 35.90 | 2.502 | 29.5 | 2 0 2 |
| 40.15 | 2.246 | 30.8 | 1 0 3 |
| 40.46 | 2.229 | 33.5 | 3 0 1 |
| 41.41 | 2.180 | 45.9 | 0 2 0 |
| 43.46 | 2.082 | 30.6 | 0 1 3 |
| 69.78 | 1.348 | 31.3 | 3 1 4 |

Structural model:
a = 7.0435 Å, b = 4.3605 Å, c = 7.1091 Å
α = 90.00°, β = 90.00°, γ = 90.00°
Space group Pnma (No. 62)
Inequivalent atoms, fractional coordinates:
Tb 0.0164 0.2500 0.1854
Si 0.1941 0.2500 0.6056
Ru 0.1523 0.7500 0.4321

# 2
# Tb3Si12Ru4
Calculated PXRD pattern, copper Kα. Input: a DFT-relaxed cell (PBE, the Materials Project).
Lines closer than 0.1° are merged.

Most intense lines, 2θ = 15–90°, in order of rising 2θ:
| 2theta | d/Å | intensity | (hkl) |
| --- | --- | --- | --- |
| 19.16 | 4.633 | 56.1 | 4 0 0 |
| 23.87 | 3.728 | 53.8 | 2 0 2 |
| 31.06 | 2.880 | 50.9 | 0 2 2 |
| 35.18 | 2.551 | 83.0 | 1 1 3 |
| 36.51 | 2.461 | 100.0 | 6 2 0 |
| 36.75 | 2.446 | 93.2 | 4 2 2 |
| 44.50 | 2.036 | 34.0 | 0 4 0 |
| 45.62 | 1.989 | 34.7 | 2 0 4 |
| 49.36 | 1.846 | 38.1 | 7 3 1 |
| 58.87 | 1.569 | 58.9 | 6 2 4 |

Structural model:
a = 18.5331 Å, b = 8.1442 Å, c = 8.1452 Å
α = 90.00°, β = 90.00°, γ = 90.00°
Space group Cmce (No. 64)
Inequivalent atoms, fractional coordinates:
Tb 0.0000 0.0000 0.0000
Tb 0.2500 0.2464 0.2500
Si 0.0000 0.1667 0.3334
Si 0.1172 0.0061 0.7285
Si 0.1171 0.2291 0.5070
Si 0.2046 0.0000 0.5000
Ru 0.0000 0.1272 0.6271
Ru 0.1691 0.0000 0.0000

# 3
# ThSi2Ru3
Calculated PXRD pattern, copper Kα. Input: a DFT-relaxed cell (PBE, the Materials Project).
Lines closer than 0.1° are merged.

Most intense lines, 2θ = 15–90°, in order of rising 2θ:
| 2theta | d/Å | intensity | (hkl) |
| --- | --- | --- | --- |
| 30.72 | 2.910 | 100.0 | 1 0 1 |
| 31.70 | 2.823 | 16.3 | 1 1 0 |
| 36.77 | 2.444 | 89.3 | 2 0 0 |
| 40.52 | 2.226 | 78.9 | 1 1 1 |
| 50.38 | 1.811 | 16.5 | 0 0 2 |
| 55.86 | 1.646 | 38.0 | 2 1 1 |
| 62.50 | 1.486 | 22.1 | 3 0 1 |
| 63.98 | 1.455 | 35.4 | 2 0 2 |
| 66.22 | 1.411 | 21.7 | 2 2 0 |
| 87.66 | 1.113 | 20.8 | 2 2 2 |

Structural model:
a = 5.6450 Å, b = 5.6450 Å, c = 3.6223 Å
α = 90.00°, β = 90.00°, γ = 120.00°
Space group P6/mmm (No. 191)
Inequivalent atoms, fractional coordinates:
Th 0.0000 0.0000 0.0000
Si 0.3333 0.6667 0.0000
Ru 0.0000 0.5000 0.5000

# 4
# Th2Si3Ru
Calculated PXRD pattern, copper Kα. Input: a DFT-relaxed cell (PBE, the Materials Project).
Lines closer than 0.1° are merged.

Most intense lines, 2θ = 15–90°, in order of rising 2θ:
| 2theta | d/Å | intensity | (hkl) |
| --- | --- | --- | --- |
| 22.03 | 4.034 | 23.5 | 0 1 1 |
| 24.65 | 3.612 | 22.5 | 0 0 4 |
| 28.19 | 3.166 | 19.0 | 0 1 3 |
| 28.70 | 3.110 | 30.4 | 1 0 3 |
| 33.04 | 2.711 | 100.0 | 1 1 2 |
| 37.79 | 2.381 | 22.0 | 0 1 5 |
| 38.19 | 2.357 | 20.7 | 1 0 5 |
| 43.06 | 2.101 | 16.3 | 0 2 0 |
| 44.48 | 2.037 | 14.9 | 2 0 0 |
| 49.19 | 1.852 | 16.9 | 0 1 7 |

Structural model:
a = 4.0741 Å, b = 4.2012 Å, c = 14.4471 Å
α = 90.00°, β = 90.00°, γ = 90.00°
Space group Imm2 (No. 44)
Inequivalent atoms, fractional coordinates:
Th 0.0000 0.0000 0.0000
Th 0.0000 0.5000 0.2458
Si 0.0000 0.0000 0.4158
Si 0.0000 0.5000 0.6646
Si 0.0000 0.5000 0.8288
Ru 0.0000 0.0000 0.5798

# 5
# TiSiRu
Calculated PXRD pattern, copper Kα. Input: a DFT-relaxed cell (PBE, the Materials Project).
Lines closer than 0.1° are merged.

Most intense lines, 2θ = 15–90°, in order of rising 2θ:
| 2theta | d/Å | intensity | (hkl) |
| --- | --- | --- | --- |
| 18.99 | 4.672 | 47.1 | 1 0 1 |
| 29.60 | 3.018 | 100.0 | 1 1 1 |
| 36.68 | 2.450 | 78.7 | 1 1 2 |
| 37.23 | 2.415 | 62.4 | 2 1 0 |
| 39.32 | 2.292 | 75.5 | 2 1 1 |
| 43.82 | 2.066 | 72.8 | 0 1 3 |
| 45.90 | 1.977 | 62.3 | 0 2 0 |
| 46.39 | 1.957 | 94.0 | 3 0 1 |
| 67.30 | 1.391 | 36.7 | 3 2 1 |
| 73.95 | 1.282 | 37.7 | 3 1 4 |

Structural model:
a = 6.0991 Å, b = 3.9542 Å, c = 7.2684 Å
α = 90.00°, β = 90.00°, γ = 90.00°
Space group Pnma (No. 62)
Inequivalent atoms, fractional coordinates:
Ti 0.0197 0.2500 0.1863
Si 0.2241 0.7500 0.3758
Ru 0.1651 0.2500 0.5559

# 6
# TiSiRu
Calculated PXRD pattern, copper Kα. Input: a DFT-relaxed cell (PBE, the Materials Project).
Lines closer than 0.1° are merged.

Most intense lines, 2θ = 15–90°, in order of rising 2θ:
| 2theta | d/Å | intensity | (hkl) |
| --- | --- | --- | --- |
| 15.77 | 5.619 | 22.3 | 0 1 1 |
| 25.14 | 3.543 | 19.1 | 2 0 0 |
| 27.50 | 3.244 | 33.2 | 0 0 2 |
| 37.60 | 2.392 | 100.0 | 2 3 1 |
| 41.00 | 2.201 | 59.9 | 2 2 2 |
| 42.54 | 2.125 | 50.9 | 0 1 3 |
| 42.63 | 2.121 | 25.0 | 0 5 1 |
| 50.05 | 1.822 | 24.8 | 2 4 2 |
| 51.60 | 1.771 | 17.4 | 4 0 0 |
| 69.04 | 1.360 | 22.6 | 4 1 3 |

Structural model:
a = 7.0858 Å, b = 11.2175 Å, c = 6.4989 Å
α = 90.00°, β = 90.00°, γ = 90.00°
Space group Ima2 (No. 46)
Inequivalent atoms, fractional coordinates:
Ti 0.2500 0.0041 0.0000
Ti 0.2500 0.2233 0.6465
Ti 0.2500 0.6955 0.1206
Si 0.0069 0.6676 0.4216
Si 0.2500 0.0311 0.4093
Ru 0.0000 0.0000 0.6708
Ru 0.0351 0.6265 0.7928

Question: What is the formula in the second record?
Answer: Tb3Si12Ru4